Record 1
For NaZrF6, DFT lattice parameters and positions (PBE) gives the simulated powder diffractogram in this record (Cu Kα).
No peak broadening, texture or thermal motion is included.

Principal peaks in the range 10 to 90 degrees two-theta, by angle:
hkl 1 0 0, 2θ = 17.14°, d 5.174, I = 97
hkl 0 0 2, 2θ = 19.89°, d 4.465, I = 30
hkl 1 1 0, 2θ = 24.33°, d 3.659, I = 93
hkl 1 0 2, 2θ = 26.37°, d 3.380, I = 100
hkl 1 1 3, 2θ = 38.99°, d 2.310, I = 50
hkl 2 1 2, 2θ = 44.08°, d 2.054, I = 79
hkl 2 2 0, 2θ = 49.85°, d 1.829, I = 34
hkl 2 0 4, 2θ = 54.25°, d 1.691, I = 28

Crystal structure
```
data_NaZrF6
_chemical_formula_sum 'Na2 Zr2 F12'
_cell_length_a 5.174
_cell_length_b 5.174
_cell_length_c 8.929
_cell_angle_alpha 90.00
_cell_angle_beta 90.00
_cell_angle_gamma 90.00
_symmetry_space_group_name_H-M 'P 42/m c m'
_symmetry_Int_Tables_number 132
_symmetry_space_group_name_Hall '-P 4c 2c'
loop_
_atom_site_label
_atom_site_type_symbol
_atom_site_fract_x
_atom_site_fract_y
_atom_site_fract_z
Na1 Na 0.000 0.000 0.250
Zr1 Zr 0.500 0.500 0.000
F1 F 0.221 0.221 0.000
F2 F 0.294 0.294 0.344
```

Record 2
For GeSb2Se5, DFT lattice parameters and positions (PBE) gives the simulated powder diffractogram in this record (Cu Kα).
No peak broadening, texture or thermal motion is included.

Principal peaks in the range 10 to 90 degrees two-theta, by angle:
hkl 0 2 0, 2θ = 12.43°, d 7.123, I = 62
hkl 1 1 0, 2θ = 16.50°, d 5.372, I = 51
hkl 0 2 3, 2θ = 25.92°, d 3.437, I = 58
hkl 2 0 0, 2θ = 30.83°, d 2.900, I = 77
hkl 0 4 3, 2θ = 33.99°, d 2.637, I = 100
hkl 2 2 3, 2θ = 40.71°, d 2.217, I = 34
hkl 2 4 3, 2θ = 46.54°, d 1.951, I = 82
hkl 2 0 6, 2θ = 56.63°, d 1.625, I = 24

Crystal structure
```
data_GeSb2Se5
_chemical_formula_sum 'Ge4 Sb8 Se20'
_cell_length_a 5.800
_cell_length_b 14.246
_cell_length_c 11.774
_cell_angle_alpha 90.00
_cell_angle_beta 90.00
_cell_angle_gamma 90.00
_symmetry_space_group_name_H-M 'C m c m'
_symmetry_Int_Tables_number 63
_symmetry_space_group_name_Hall '-C 2c 2'
loop_
_atom_site_label
_atom_site_type_symbol
_atom_site_fract_x
_atom_site_fract_y
_atom_site_fract_z
Ge1 Ge 0.000 0.191 0.250
Sb1 Sb 0.000 0.178 0.573
Se1 Se 0.000 0.034 0.097
Se2 Se 0.000 0.310 0.750
Se3 Se 0.000 0.320 0.087
```

Record 3
For U6Ta, DFT lattice parameters and positions (PBE) gives the simulated powder diffractogram in this record (Cu Kα).
No peak broadening, texture or thermal motion is included.

Principal peaks in the range 10 to 90 degrees two-theta, by angle:
hkl 1 1 0, 2θ = 17.83°, d 4.974, I = 35
hkl 2 0 0, 2θ = 25.32°, d 3.517, I = 42
hkl 2 1 1, 2θ = 31.14°, d 2.872, I = 100
hkl 2 2 2, 2θ = 44.62°, d 2.031, I = 45
hkl 3 2 1, 2θ = 48.41°, d 1.880, I = 60
hkl 4 0 0, 2θ = 52.00°, d 1.759, I = 36
hkl 4 4 0, 2θ = 76.62°, d 1.244, I = 25
hkl 6 1 1, 2θ = 84.99°, d 1.141, I = 20

Crystal structure
```
data_U6Ta
_chemical_formula_sum 'U12 Ta2'
_cell_length_a 7.035
_cell_length_b 7.035
_cell_length_c 7.035
_cell_angle_alpha 90.00
_cell_angle_beta 90.00
_cell_angle_gamma 90.00
_symmetry_space_group_name_H-M 'I m -3 m'
_symmetry_Int_Tables_number 229
_symmetry_space_group_name_Hall '-I 4 2 3'
loop_
_atom_site_label
_atom_site_type_symbol
_atom_site_fract_x
_atom_site_fract_y
_atom_site_fract_z
U1 U 0.000 0.250 0.500
Ta1 Ta 0.000 0.000 0.000
```

Record 4
For Tc3W5, DFT lattice parameters and positions (PBE) gives the simulated powder diffractogram in this record (Cu Kα).
No peak broadening, texture or thermal motion is included.

Principal peaks in the range 10 to 90 degrees two-theta, by angle:
hkl 0 2 1, 2θ = 28.36°, d 3.148, I = 8
hkl 0 0 2, 2θ = 40.43°, d 2.231, I = 25
hkl 2 2 1, 2θ = 40.53°, d 2.226, I = 100
hkl 0 4 0, 2θ = 40.65°, d 2.219, I = 25
hkl 4 0 0, 2θ = 58.66°, d 1.574, I = 25
hkl 4 0 2, 2θ = 73.61°, d 1.287, I = 26
hkl 4 4 0, 2θ = 73.86°, d 1.283, I = 26
hkl 4 4 2, 2θ = 87.69°, d 1.113, I = 11

Crystal structure
```
data_Tc3W5
_chemical_formula_sum 'Tc6 W10'
_cell_length_a 6.297
_cell_length_b 8.878
_cell_length_c 4.462
_cell_angle_alpha 90.00
_cell_angle_beta 90.00
_cell_angle_gamma 90.00
_symmetry_space_group_name_H-M 'C m m m'
_symmetry_Int_Tables_number 65
_symmetry_space_group_name_Hall '-C 2 2'
loop_
_atom_site_label
_atom_site_type_symbol
_atom_site_fract_x
_atom_site_fract_y
_atom_site_fract_z
Tc1 Tc 0.000 0.000 0.000
Tc2 Tc 0.000 0.244 0.500
W1 W 0.000 0.500 0.000
W2 W 0.246 0.500 0.500
W3 W 0.250 0.250 0.000
```

Record 5
For Ga3Tc2, DFT lattice parameters and positions (PBE) gives the simulated powder diffractogram in this record (Cu Kα).
No peak broadening, texture or thermal motion is included.

Principal peaks in the range 10 to 90 degrees two-theta, by angle:
hkl 1 1 -2, 2θ = 40.83°, d 2.210, I = 100
hkl 2 0 1, 2θ = 41.41°, d 2.180, I = 24
hkl 4 0 -3, 2θ = 43.28°, d 2.091, I = 20
hkl 0 2 0, 2θ = 56.75°, d 1.622, I = 10
hkl 2 2 1, 2θ = 72.64°, d 1.302, I = 9
hkl 4 2 -3, 2θ = 73.95°, d 1.282, I = 8
hkl 1 1 3, 2θ = 75.04°, d 1.266, I = 8
hkl 5 1 0, 2θ = 75.23°, d 1.263, I = 7

Crystal structure
```
data_Ga3Tc2
_chemical_formula_sum 'Ga6 Tc4'
_cell_length_a 9.415
_cell_length_b 3.245
_cell_length_c 6.649
_cell_angle_alpha 90.00
_cell_angle_beta 133.27
_cell_angle_gamma 90.00
_symmetry_space_group_name_H-M 'C 1 2/m 1'
_symmetry_Int_Tables_number 12
loop_
_symmetry_equiv_pos_as_xyz
'x,y,z'
'-x,-y,-z'
'-x,y,-z'
'x,-y,z'
'x+1/2,y+1/2,z'
'-x+1/2,-y+1/2,-z'
'-x+1/2,y+1/2,-z'
'x+1/2,-y+1/2,z'
loop_
_atom_site_label
_atom_site_type_symbol
_atom_site_fract_x
_atom_site_fract_y
_atom_site_fract_z
Ga1 Ga 0.000 0.000 0.000
Ga2 Ga 0.194 0.000 0.609
Tc1 Tc 0.085 0.500 0.801
```

Record 6
For Hg5TePd6, DFT lattice parameters and positions (PBE) gives the simulated powder diffractogram in this record (Cu Kα).
No peak broadening, texture or thermal motion is included.

Principal peaks in the range 10 to 90 degrees two-theta, by angle:
hkl 1 2 1, 2θ = 38.08°, d 2.363, I = 100
hkl 1 2 -2, 2θ = 38.19°, d 2.357, I = 99
hkl 2 0 -1, 2θ = 38.39°, d 2.345, I = 98
hkl 0 4 0, 2θ = 54.64°, d 1.680, I = 18
hkl 2 0 2, 2θ = 55.25°, d 1.663, I = 17
hkl 2 4 -1, 2θ = 68.75°, d 1.365, I = 35
hkl 3 2 0, 2θ = 69.14°, d 1.359, I = 34
hkl 3 2 -3, 2θ = 69.36°, d 1.355, I = 34

Crystal structure
```
data_Hg5TePd6
_chemical_formula_sum 'Hg5 Te1 Pd6'
_cell_length_a 4.688
_cell_length_b 6.718
_cell_length_c 7.407
_cell_angle_alpha 90.00
_cell_angle_beta 108.14
_cell_angle_gamma 90.00
_symmetry_space_group_name_H-M 'P 1 2/m 1'
_symmetry_Int_Tables_number 10
loop_
_symmetry_equiv_pos_as_xyz
'x,y,z'
'-x,-y,-z'
'-x,y,-z'
'x,-y,z'
loop_
_atom_site_label
_atom_site_type_symbol
_atom_site_fract_x
_atom_site_fract_y
_atom_site_fract_z
Hg1 Hg 0.000 0.000 0.000
Hg2 Hg 0.326 0.500 0.654
Hg3 Hg 0.331 0.000 0.665
Te1 Te 0.000 0.500 0.000
Pd1 Pd 0.165 0.249 0.326
Pd2 Pd 0.500 0.259 0.000
```

Record 7
For Cs2K6RbPd, DFT lattice parameters and positions (PBE) gives the simulated powder diffractogram in this record (Cu Kα).
No peak broadening, texture or thermal motion is included.

Principal peaks in the range 10 to 90 degrees two-theta, by angle:
hkl 2 0 0, 2θ = 17.07°, d 5.193, I = 100
hkl 2 0 -2, 2θ = 17.17°, d 5.165, I = 20
hkl 0 4 0, 2θ = 24.21°, d 3.676, I = 54
hkl 4 0 -2, 2θ = 24.35°, d 3.655, I = 26
hkl 2 4 0, 2θ = 29.76°, d 3.002, I = 27
hkl 0 4 2, 2θ = 34.49°, d 2.601, I = 28
hkl 4 4 -2, 2θ = 34.62°, d 2.591, I = 19
hkl 6 0 -2, 2θ = 38.80°, d 2.321, I = 20

Crystal structure
```
data_Cs2K6RbPd
_chemical_formula_sum 'Cs4 K12 Rb2 Pd2'
_cell_length_a 14.622
_cell_length_b 14.689
_cell_length_c 10.330
_cell_angle_alpha 90.00
_cell_angle_beta 134.58
_cell_angle_gamma 90.00
_symmetry_space_group_name_H-M 'C 1 m 1'
_symmetry_Int_Tables_number 8
loop_
_symmetry_equiv_pos_as_xyz
'x,y,z'
'x,-y,z'
'x+1/2,y+1/2,z'
'x+1/2,-y+1/2,z'
loop_
_atom_site_label
_atom_site_type_symbol
_atom_site_fract_x
_atom_site_fract_y
_atom_site_fract_z
Cs1 Cs 0.000 0.249 0.000
K1 K 0.000 0.285 0.500
K2 K 0.214 0.500 0.929
K3 K 0.216 0.500 0.498
K4 K 0.287 0.000 0.070
K5 K 0.288 0.000 0.502
Rb1 Rb 0.003 0.000 0.499
Pd1 Pd 0.002 0.500 0.500
```

Record 8
For Mn10CoN8, DFT lattice parameters and positions (PBE) gives the simulated powder diffractogram in this record (Cu Kα).
No peak broadening, texture or thermal motion is included.

Principal peaks in the range 10 to 90 degrees two-theta, by angle:
hkl 0 0 1, 2θ = 13.92°, d 6.361, I = 38
hkl 4 0 -2, 2θ = 28.06°, d 3.180, I = 52
hkl 6 0 0, 2θ = 36.60°, d 2.455, I = 55
hkl 5 1 0, 2θ = 38.14°, d 2.359, I = 36
hkl 1 1 2, 2θ = 38.86°, d 2.318, I = 100
hkl 5 1 -2, 2θ = 38.89°, d 2.316, I = 93
hkl 0 2 0, 2θ = 46.08°, d 1.970, I = 68
hkl 4 0 -4, 2θ = 51.86°, d 1.763, I = 43

Crystal structure
```
data_Mn10CoN8
_chemical_formula_sum 'Mn20 Co2 N16'
_cell_length_a 16.324
_cell_length_b 3.939
_cell_length_c 7.052
_cell_angle_alpha 90.00
_cell_angle_beta 115.53
_cell_angle_gamma 90.00
_symmetry_space_group_name_H-M 'C 1 2/m 1'
_symmetry_Int_Tables_number 12
loop_
_symmetry_equiv_pos_as_xyz
'x,y,z'
'-x,-y,-z'
'-x,y,-z'
'x,-y,z'
'x+1/2,y+1/2,z'
'-x+1/2,-y+1/2,-z'
'-x+1/2,y+1/2,-z'
'x+1/2,-y+1/2,z'
loop_
_atom_site_label
_atom_site_type_symbol
_atom_site_fract_x
_atom_site_fract_y
_atom_site_fract_z
Mn1 Mn 0.000 0.000 0.236
Mn2 Mn 0.130 0.500 0.392
Mn3 Mn 0.131 0.500 0.870
Mn4 Mn 0.169 0.000 0.170
Mn5 Mn 0.193 0.000 0.693
Co1 Co 0.000 0.500 0.000
N1 N 0.001 0.500 0.734
N2 N 0.135 0.000 0.406
N3 N 0.136 0.000 0.867
N4 N 0.183 0.500 0.184
```